Entry 1:
# La4PrCo
Computed X-ray diffraction stick pattern, Cu Kα (weighted mean of Kα1 and Kα2). Input: a cell relaxed with PBE.
Kinematic intensities with the Lorentz-polarization factor, no thermal factor.

Cell and atoms:
```
12
Lattice="2.9165 -9.3068 0.0000 2.9165 9.3068 0.0000 0.0000 0.0000 7.6237" Properties=species:S:1:pos:R:3 pbc="T T T"
La 2.9165 9.3036 7.6214
La 2.9165 -9.3036 3.8095
La 2.9165 5.5601 3.8119
La 2.9165 5.5533 7.6087
La 2.9165 2.0484 1.9000
La 2.9165 -2.0484 5.7118
La 2.9165 -5.5533 3.7968
La 2.9165 -5.5601 0.0000
Pr 2.9165 2.1596 5.7105
Pr 2.9165 -2.1596 1.8987
Co 2.9165 7.5255 5.7128
Co 2.9165 -7.5255 1.9010
```

Top 10 peaks for 2θ from 15° to 90°, low angle first:
| 2θ/deg | d/Å | I (rel.) |
| --- | --- | --- |
| 28.4 | 3.141 | 100.0 |
| 30.3 | 2.949 | 38.4 |
| 30.7 | 2.917 | 35.8 |
| 31.5 | 2.838 | 10.7 |
| 37.4 | 2.406 | 10.9 |
| 43.7 | 2.074 | 28.2 |
| 52.7 | 1.736 | 12.5 |
| 53.1 | 1.724 | 17.6 |
| 56.5 | 1.629 | 16.4 |
| 57.8 | 1.595 | 11.7 |

Entry 2:
# Rb2UCl4O4
Computed X-ray diffraction stick pattern, Cu Kα (weighted mean of Kα1 and Kα2). Input: a cell relaxed with PBE.
Kinematic intensities with the Lorentz-polarization factor, no thermal factor.

Cell and atoms:
```
11
Lattice="6.3967 0.0000 0.0000 -2.4639 6.5667 0.0000 -0.4499 -2.1479 7.5000" Properties=species:S:1:pos:R:3 pbc="T T T"
Rb -0.3355 1.7899 1.8056
Rb 3.8185 2.6289 5.6944
U 2.9734 -1.0739 3.7500
Cl -0.6520 5.7060 1.3419
Cl 1.1386 0.5574 4.7876
Cl 2.3443 3.8615 2.7123
Cl 4.1349 -1.2871 6.1580
O -0.6034 0.5641 6.5450
O -0.4922 4.0191 4.1025
O 3.9751 0.3998 3.3974
O 4.0863 3.8547 0.9550
```

Top 10 peaks for 2θ from 15° to 90°, low angle first:
| 2θ/deg | d/Å | I (rel.) |
| --- | --- | --- |
| 16.2 | 5.463 | 46.3 |
| 17.6 | 5.040 | 100.0 |
| 19.2 | 4.631 | 52.2 |
| 20.7 | 4.284 | 32.7 |
| 24.0 | 3.702 | 78.0 |
| 24.2 | 3.681 | 60.5 |
| 26.5 | 3.359 | 59.6 |
| 27.5 | 3.242 | 48.7 |
| 30.1 | 2.966 | 55.6 |
| 40.3 | 2.238 | 31.5 |

Entry 3:
# TbPmNd6Ho2
Computed X-ray diffraction stick pattern, Cu Kα (weighted mean of Kα1 and Kα2). Input: a cell relaxed with PBE.
Kinematic intensities with the Lorentz-polarization factor, no thermal factor.

Cell and atoms:
```
20
Lattice="4.6429 -7.6659 0.0000 4.6429 7.6659 0.0000 -1.3408 0.0000 9.6493" Properties=species:S:1:pos:R:3 pbc="T T T"
Tb 3.6373 7.2253 7.2369
Tb 4.3077 -7.2253 2.4123
Pm 4.3077 1.4127 2.4123
Pm 3.6373 -1.4127 7.2369
Nd 1.7757 4.2227 6.6059
Nd 3.9758 4.9577 0.5290
Nd 4.6397 4.9577 4.2956
Nd 2.5518 1.6490 8.4951
Nd 5.4990 4.2227 7.8679
Nd 4.7228 1.6490 5.9788
Nd 3.2222 -1.6490 3.6704
Nd 2.4461 -4.2227 1.7813
Nd 5.3932 -1.6490 1.1542
Nd 3.3054 -4.9577 5.3537
Nd 3.9693 -4.9577 9.1202
Nd 6.1694 -4.2227 3.0433
Ho 1.5457 0.7417 5.2699
Ho 2.2160 -0.7417 0.4453
Ho 5.7290 0.7417 9.2039
Ho 6.3994 -0.7417 4.3793
```

Top 10 peaks for 2θ from 15° to 90°, low angle first:
| 2θ/deg | d/Å | I (rel.) |
| --- | --- | --- |
| 27.5 | 3.247 | 18.8 |
| 28.1 | 3.174 | 41.6 |
| 29.9 | 2.987 | 53.1 |
| 30.1 | 2.966 | 46.4 |
| 30.7 | 2.909 | 37.6 |
| 30.9 | 2.890 | 100.0 |
| 31.7 | 2.819 | 27.6 |
| 33.2 | 2.697 | 37.1 |
| 33.8 | 2.650 | 15.2 |
| 58.1 | 1.587 | 16.2 |

Entry 4:
# RbBeH
Computed X-ray diffraction stick pattern, Cu Kα (weighted mean of Kα1 and Kα2). Input: a cell relaxed with PBE.
Kinematic intensities with the Lorentz-polarization factor, no thermal factor.

Cell and atoms:
```
6
Lattice="-1.7093 2.7784 6.4488 1.7093 -2.7784 6.4488 1.7093 2.7784 -6.4488" Properties=species:S:1:pos:R:3 pbc="T T T"
Rb 0.0000 1.3892 1.2756
Rb 1.7093 1.3892 5.1733
Be 1.7093 1.3892 -2.5335
Be 0.0000 1.3892 8.9823
H 1.7093 1.3892 -1.0795
H 0.0000 1.3892 7.5283
```

Top 10 peaks for 2θ from 15° to 90°, low angle first:
| 2θ/deg | d/Å | I (rel.) |
| --- | --- | --- |
| 17.4 | 5.103 | 60.7 |
| 26.2 | 3.400 | 92.5 |
| 27.0 | 3.305 | 53.2 |
| 27.7 | 3.224 | 26.0 |
| 32.2 | 2.778 | 33.4 |
| 33.8 | 2.654 | 100.0 |
| 42.5 | 2.127 | 31.0 |
| 44.0 | 2.059 | 25.8 |
| 53.9 | 1.701 | 20.5 |
| 55.6 | 1.654 | 26.5 |

Entry 5:
# Th4Ru2Pb3
Computed X-ray diffraction stick pattern, Cu Kα (weighted mean of Kα1 and Kα2). Input: a cell relaxed with PBE.
Kinematic intensities with the Lorentz-polarization factor, no thermal factor.

Cell and atoms:
```
18
Lattice="6.8196 -5.7608 0.0000 6.8196 5.7608 0.0000 -0.0710 0.0000 6.3444" Properties=species:S:1:pos:R:3 pbc="T T T"
Th 5.4121 4.2824 3.1799
Th 8.1207 4.2824 6.3366
Th 4.6625 0.9784 4.7326
Th 4.6980 -0.9784 1.5604
Th 8.8703 0.9784 4.7840
Th 8.9058 -0.9784 1.6118
Th 5.4476 -4.2824 0.0077
Th 8.1562 -4.2824 3.1645
Ru 4.0294 1.9654 2.1539
Ru 3.9939 -1.9654 5.3261
Ru 9.5744 1.9654 1.0183
Ru 9.5389 -1.9654 4.1905
Pb 4.7403 3.9939 6.2904
Pb 8.7925 3.9939 3.2262
Pb 6.8019 1.5468 1.5861
Pb 6.7664 -1.5468 4.7583
Pb 4.7758 -3.9939 3.1182
Pb 8.8280 -3.9939 0.0540
```

Top 10 peaks for 2θ from 15° to 90°, low angle first:
| 2θ/deg | d/Å | I (rel.) |
| --- | --- | --- |
| 26.1 | 3.410 | 42.5 |
| 29.9 | 2.991 | 52.2 |
| 30.0 | 2.977 | 68.3 |
| 31.0 | 2.881 | 79.9 |
| 33.5 | 2.673 | 100.0 |
| 33.8 | 2.655 | 81.7 |
| 34.2 | 2.623 | 26.8 |
| 35.6 | 2.525 | 28.6 |
| 37.4 | 2.404 | 43.0 |
| 40.6 | 2.224 | 26.0 |